No. 1
Nd3Ho3Er2: calculated PXRD pattern (Cu Kα X-rays), based on a structure optimized by DFT (PBE).

Peak list (10 most intense, 15 to 90 degrees two-theta, low angle first)
two_theta, I (rel.)
29.76, 42
31.33, 60
31.61, 100
32.09, 99
34.13, 23
43.75, 30
47.52, 17
55.95, 20
56.25, 20
58.03, 19

Cell and atoms:
a = 8.6475 Å, b = 8.6475 Å, c = 6.0062 Å
α = 109.17°, β = 109.17°, γ = 38.56°
Sites, in units of the cell vectors:
Nd: 0.0000 0.0000 0.0000
Nd: 0.1352 0.1352 0.6985
Nd: 0.8648 0.8648 0.3015
Ho: 0.3669 0.3669 0.9190
Ho: 0.5000 0.5000 0.5000
Ho: 0.6331 0.6331 0.0810
Er: 0.2499 0.2499 0.3186
Er: 0.7501 0.7501 0.6814

=====

No. 2
LaInO3: calculated PXRD pattern (Cu Kα X-rays), based on a structure optimized by DFT (PBE).

Peak list (10 most intense, 15 to 90 degrees two-theta, low angle first)
two_theta, I (rel.)
17.63, 23
23.74, 100
30.79, 97
31.86, 23
39.25, 27
44.90, 98
50.70, 26
54.75, 30
64.76, 21
73.41, 21

Cell and atoms:
a = 5.8077 Å, b = 5.8077 Å, c = 5.6179 Å
α = 90.00°, β = 90.00°, γ = 120.00°
Sites, in units of the cell vectors:
La: 0.3333 0.6667 0.2500
La: 0.6667 0.3333 0.7500
In: 0.0000 0.0000 0.2500
In: 0.0000 0.0000 0.7500
O: 0.0000 0.2970 0.5000
O: 0.0000 0.7030 0.0000
O: 0.2970 0.0000 0.5000
O: 0.2970 0.2970 0.0000
O: 0.7030 0.0000 0.0000
O: 0.7030 0.7030 0.5000